(1)
Starting from a crystal structure in the Materials Project, relaxed with PBE, the X-ray powder pattern of S was simulated for a wavelength of 1.5418 Å.

Largest 6 diffraction maxima, by intensity, 2θ from 5° to 70°:
- d = 4.665 Å, 2θ = 19.02°, I 100, hkl 1 0 1
- d = 3.000 Å, 2θ = 29.78°, I 45, hkl 2 1 1
- d = 1.885 Å, 2θ = 48.29°, I 20, hkl 3 1 2
- d = 3.198 Å, 2θ = 27.89°, I 17, hkl 3 0 0
- d = 2.770 Å, 2θ = 32.32°, I 13, hkl 2 2 0
- d = 5.540 Å, 2θ = 16.00°, I 12, hkl 1 1 0

Cell and atoms:
a b c (Å): 11.0797 11.0797 5.3389
angles (deg): 90.00 90.00 120.00
Space group R-3 (No. 148, hexagonal axes)
Asymmetric unit:
S 0.0409 0.1858 0.0834 x18

(2)
Starting from a crystal structure in the Materials Project, relaxed with PBE, the X-ray powder pattern of S was simulated for a wavelength of 1.5418 Å.

Largest 6 diffraction maxima, by intensity, 2θ from 5° to 70°:
- d = 12.540 Å, 2θ = 7.05°, I 100, hkl 1 0 0
- d = 3.415 Å, 2θ = 26.09°, I 25, hkl 3 -1 1
- d = 4.740 Å, 2θ = 18.72°, I 24, hkl 1 2 0
- d = 4.926 Å, 2θ = 18.01°, I 16, hkl 0 0 1
- d = 3.874 Å, 2θ = 22.96°, I 16, hkl 0 2 1
- d = 7.240 Å, 2θ = 12.22°, I 12, hkl 1 1 0

Cell and atoms:
a b c (Å): 14.4804 14.4804 4.9259
angles (deg): 90.00 90.00 120.00
Space group P3 (No. 143)
Asymmetric unit:
S 0.0136 0.8824 0.0000 x3
S 0.0790 0.6833 0.5512 x3
S 0.0975 0.5915 0.7981 x3
S 0.1860 0.3888 0.4314 x3
S 0.2021 0.1428 0.6817 x3
S 0.2877 0.0752 0.6938 x3

(3)
Starting from a crystal structure in the Materials Project, relaxed with PBE, the X-ray powder pattern of S was simulated for a wavelength of 1.5418 Å.

Largest 6 diffraction maxima, by intensity, 2θ from 5° to 70°:
- d = 3.679 Å, 2θ = 24.19°, I 100, hkl 3 1 -1
- d = 5.030 Å, 2θ = 17.63°, I 70, hkl 1 1 -2
- d = 4.022 Å, 2θ = 22.10°, I 62, hkl 1 2 -2
- d = 3.772 Å, 2θ = 23.58°, I 62, hkl 1 2 2
- d = 4.185 Å, 2θ = 21.23°, I 46, hkl 2 1 -2
- d = 3.402 Å, 2θ = 26.20°, I 38, hkl 3 1 1

Cell and atoms:
a b c (Å): 11.8583 11.5991 11.8614
angles (deg): 90.00 98.36 90.00
Space group P2_1 (No. 4)
Asymmetric unit:
S 0.0467 0.0615 0.4510 x2
S 0.0585 0.7276 0.8862 x2
S 0.0625 0.2601 0.6598 x2
S 0.0623 0.7884 0.0502 x2
S 0.0759 0.2331 0.4903 x2
S 0.1572 0.5808 0.8892 x2
S 0.1597 0.4831 0.2543 x2
S 0.1828 0.9170 0.0813 x2
S 0.2004 0.9755 0.4609 x2
S 0.2233 0.2580 0.7540 x2
S 0.2366 0.8969 0.6180 x2
S 0.2535 0.0966 0.8249 x2
S 0.2579 0.3877 0.1584 x2
S 0.2645 0.5871 0.3651 x2
S 0.2875 0.2266 0.2304 x2
S 0.2951 0.5084 0.5225 x2
S 0.3163 0.6244 0.8516 x2
S 0.3332 0.8485 0.1638 x2
S 0.3464 0.0000 0.7249 x2
S 0.4247 0.2528 0.4981 x2
S 0.4284 0.6426 0.0009 x2
S 0.4408 0.8144 0.0461 x2
S 0.4453 0.2262 0.3304 x2
S 0.4503 0.4245 0.5385 x2

(4)
Starting from a crystal structure in the Materials Project, relaxed with PBE, the X-ray powder pattern of S was simulated for a wavelength of 1.5418 Å.

Largest 6 diffraction maxima, by intensity, 2θ from 5° to 70°:
- d = 4.541 Å, 2θ = 19.55°, I 100, hkl 0 1 -1
- d = 2.751 Å, 2θ = 32.55°, I 86, hkl 1 0 -1
- d = 2.744 Å, 2θ = 32.63°, I 85, hkl 1 1 0
- d = 4.284 Å, 2θ = 20.73°, I 79, hkl 0 1 1
- d = 2.181 Å, 2θ = 41.41°, I 44, hkl 1 0 2
- d = 2.085 Å, 2θ = 43.41°, I 29, hkl 0 0 3

Cell and atoms:
a b c (Å): 3.0609 6.2206 6.2647
angles (deg): 93.33 90.27 90.07
Space group P-1 (No. 2)
Asymmetric unit:
S 0.0003 0.1523 0.4989 x2
S 0.4990 0.4941 0.8479 x2

(5)
Starting from a crystal structure in the Materials Project, relaxed with PBE, the X-ray powder pattern of S was simulated for a wavelength of 1.5418 Å.

Largest 6 diffraction maxima, by intensity, 2θ from 5° to 70°:
- d = 4.415 Å, 2θ = 20.11°, I 100, hkl 1 1 0
- d = 3.986 Å, 2θ = 22.30°, I 53, hkl 2 0 0
- d = 2.376 Å, 2θ = 37.87°, I 16, hkl 3 1 0
- d = 3.046 Å, 2θ = 29.32°, I 14, hkl 0 1 1
- d = 2.095 Å, 2θ = 43.18°, I 12, hkl 1 2 -1
- d = 2.073 Å, 2θ = 43.66°, I 12, hkl 1 2 1

Cell and atoms:
a b c (Å): 7.9777 5.3018 3.7241
angles (deg): 90.00 92.06 90.00
Space group P2_1/c (No. 14)
Asymmetric unit:
S 0.2455 0.1598 0.0252 x4

(6)
Starting from a crystal structure in the Materials Project, relaxed with PBE, the X-ray powder pattern of S was simulated for a wavelength of 1.5418 Å.

Largest 6 diffraction maxima, by intensity, 2θ from 5° to 70°:
- d = 4.388 Å, 2θ = 20.24°, I 100, hkl 1 0 2
- d = 2.995 Å, 2θ = 29.83°, I 50, hkl 2 2 1
- d = 6.433 Å, 2θ = 13.76°, I 29, hkl 1 1 0
- d = 5.255 Å, 2θ = 16.87°, I 28, hkl 1 1 1
- d = 3.185 Å, 2θ = 28.02°, I 26, hkl 3 1 0
- d = 4.949 Å, 2θ = 17.92°, I 23, hkl 1 0 -2

Cell and atoms:
a b c (Å): 10.4839 8.2030 10.5045
angles (deg): 90.00 98.59 90.00
Space group P2_1/c (No. 14)
Asymmetric unit:
S 0.0477 0.1154 0.3393 x4
S 0.1258 0.1941 0.9505 x4
S 0.1838 0.5755 0.8927 x4
S 0.2766 0.1066 0.8669 x4
S 0.2807 0.6075 0.7468 x4
S 0.4226 0.2135 0.4178 x4
S 0.4348 0.0824 0.2619 x4

(7)
Starting from a crystal structure in the Materials Project, relaxed with PBE, the X-ray powder pattern of S was simulated for a wavelength of 1.5418 Å.

Largest 6 diffraction maxima, by intensity, 2θ from 5° to 70°:
- d = 5.328 Å, 2θ = 16.64°, I 100, hkl 1 0 1
- d = 3.572 Å, 2θ = 24.93°, I 68, hkl 1 1 3
- d = 4.106 Å, 2θ = 21.64°, I 39, hkl 0 2 2
- d = 4.601 Å, 2θ = 19.29°, I 27, hkl 0 1 3
- d = 3.669 Å, 2θ = 24.26°, I 23, hkl 1 2 0
- d = 4.147 Å, 2θ = 21.43°, I 21, hkl 1 1 2

Cell and atoms:
a b c (Å): 5.6635 9.6325 15.7105
angles (deg): 90.00 90.00 90.00
Space group Pnnm (No. 58)
Asymmetric unit:
S 0.0000 0.0000 0.2139 x4
S 0.0095 0.3037 0.1072 x8
S 0.1903 0.7366 0.0000 x4
S 0.2004 0.1273 0.1366 x8

(8)
Starting from a crystal structure in the Materials Project, relaxed with PBE, the X-ray powder pattern of S was simulated for a wavelength of 1.5418 Å.

Largest 6 diffraction maxima, by intensity, 2θ from 5° to 70°:
- d = 13.423 Å, 2θ = 6.59°, I 100, hkl 1 0 0
- d = 5.073 Å, 2θ = 17.48°, I 57, hkl 1 2 0
- d = 4.382 Å, 2θ = 20.26°, I 44, hkl 2 -1 1
- d = 3.669 Å, 2θ = 24.26°, I 28, hkl 3 -1 1
- d = 4.166 Å, 2θ = 21.33°, I 24, hkl 0 2 1
- d = 5.314 Å, 2θ = 16.68°, I 22, hkl 0 0 1

Cell and atoms:
a b c (Å): 15.4990 15.4990 5.3136
angles (deg): 90.00 90.00 120.00
Space group P3 (No. 143)
Asymmetric unit:
S 0.0587 0.8088 0.0742 x3
S 0.2683 0.1113 0.7863 x3
S 0.2700 0.1859 0.0788 x3
S 0.4525 0.4520 0.1241 x3
S 0.4697 0.0541 0.0000 x3
S 0.6114 0.2451 0.5171 x3